[1]
This entry pairs a crystal structure of LaMg with its theoretical XRD peak list. Radiation: Cu Kα (λ = 1.5418 Å). Structure: DFT lattice parameters and positions (GGA-PBE).
Neutral-atom scattering factors, no anomalous dispersion.

Structure:
Unit cell a=5.6510 b=10.6428 c=6.0758 alpha=90.00 beta=90.00 gamma=90.00
Atoms (fractional coordinates):
La: 0.0000 0.0000 0.0000
La: 0.0000 0.5000 0.5000
La: 0.5000 0.1774 0.2048
La: 0.5000 0.3226 0.7048
La: 0.5000 0.6774 0.7048
La: 0.5000 0.8226 0.2048
Mg: 0.0000 0.1653 0.5258
Mg: 0.0000 0.3347 0.0258
Mg: 0.0000 0.6653 0.0258
Mg: 0.0000 0.8347 0.5258
Mg: 0.5000 0.0000 0.6936
Mg: 0.5000 0.5000 0.1936

Top 6 peaks for 2θ from 15° to 90°, by angle:
hkl  2θ/deg  intensity
0 1 1  16.80  43
1 2 0  22.96  52
0 3 1  29.15  38
2 0 0  31.67  43
1 3 1  33.27  100
1 0 2  33.49  66

---

[2]
This entry pairs a crystal structure of GdP2Ru2 with its theoretical XRD peak list. Radiation: Cu Kα (λ = 1.5418 Å). Structure: DFT lattice parameters and positions (GGA-PBE).
Neutral-atom scattering factors, no anomalous dispersion.

Structure:
Unit cell a=4.0696 b=4.0696 c=9.6666 alpha=90.00 beta=90.00 gamma=90.00
Atoms (fractional coordinates):
Gd: 0.0000 0.0000 0.0000
Gd: 0.5000 0.5000 0.5000
P: 0.0000 0.0000 0.3734
P: 0.0000 0.0000 0.6266
P: 0.5000 0.5000 0.1266
P: 0.5000 0.5000 0.8734
Ru: 0.0000 0.5000 0.2500
Ru: 0.0000 0.5000 0.7500
Ru: 0.5000 0.0000 0.2500
Ru: 0.5000 0.0000 0.7500

Top 6 peaks for 2θ from 15° to 90°, by angle:
hkl  2θ/deg  intensity
1 0 1  23.72  28
1 0 3  35.54  33
1 1 2  36.33  100
2 0 0  44.53  38
1 1 6  66.51  17
3 1 2  76.62  22

---

[3]
This entry pairs a crystal structure of YGePd with its theoretical XRD peak list. Radiation: Cu Kα (λ = 1.5418 Å). Structure: DFT lattice parameters and positions (GGA-PBE).
Neutral-atom scattering factors, no anomalous dispersion.

Structure:
Unit cell a=10.4959 b=4.3805 c=7.0479 alpha=90.00 beta=132.12 gamma=90.00
Atoms (fractional coordinates):
Y: 0.0450 0.0000 0.2856
Y: 0.4550 0.5000 0.7144
Y: 0.5450 0.5000 0.2856
Y: 0.9550 0.0000 0.7144
Ge: 0.1594 0.5000 0.7148
Ge: 0.3406 0.0000 0.2852
Ge: 0.6594 0.0000 0.7148
Ge: 0.8406 0.5000 0.2852
Pd: 0.1774 0.5000 0.1275
Pd: 0.3226 0.0000 0.8725
Pd: 0.6774 0.0000 0.1275
Pd: 0.8226 0.5000 0.8725

Top 6 peaks for 2θ from 15° to 90°, by angle:
hkl  2θ/deg  intensity
3 1 -1  33.32  50
4 0 -2  34.33  49
1 1 -2  34.64  100
4 0 -3  40.09  34
3 1 0  40.40  76
0 2 0  41.22  47